Structure and simulated powder X-ray diffraction pattern of Na2TmReN4 (a structure optimized by DFT (PBE); a wavelength of 1.5418 Å).

Structural model:
```
data_Na2TmReN4
_chemical_formula_sum 'Na4 Tm2 Re2 N8'
_cell_length_a 6.9171
_cell_length_b 6.6784
_cell_length_c 5.6582
_cell_angle_alpha 90.00
_cell_angle_beta 90.00
_cell_angle_gamma 90.00
_symmetry_space_group_name_H-M 'P m n 21'
_symmetry_Int_Tables_number 31
loop_
_symmetry_equiv_pos_as_xyz
'x,y,z'
'-x+1/2,-y,z+1/2'
'-x,y,z'
'x+1/2,-y,z+1/2'
loop_
_atom_site_label
_atom_site_fract_x
_atom_site_fract_y
_atom_site_fract_z
Na1 0.2470 0.1559 0.0000
Tm1 0.0000 0.3613 0.5078
Re1 0.0000 0.6667 0.0173
N1 0.0000 0.4104 0.8988
N2 0.0000 0.6513 0.3381
N3 0.2228 0.7996 0.9290
```

Main lines, in order of falling intensity (2θ = 10–90°):
2θ (°), I/Imax
20.57, 100
33.19, 80
13.26, 68
31.10, 62
31.63, 43
29.08, 42